Computed powder X-ray diffraction pattern of UTe2 for copper Kα, from DFT lattice parameters and positions (GGA-PBE).
Peak positions follow from Bragg's law for the DFT cell and can differ from measured ones.

Atomic structure:
```
data_UTe2
_cell_length_a 7.3172
_cell_length_b 8.3478
_cell_length_c 6.1054
_cell_angle_alpha 90.00
_cell_angle_beta 90.00
_cell_angle_gamma 90.00
_symmetry_space_group_name_H-M 'P b c m'
_symmetry_Int_Tables_number 57
_symmetry_space_group_name_Hall '-P 2c 2b'
loop_
_atom_site_label
_atom_site_type_symbol
_atom_site_fract_x
_atom_site_fract_y
_atom_site_fract_z
U1 U 0.2336 0.0635 0.2500
Te1 Te 0.0910 0.7500 0.0000
Te2 Te 0.3836 0.0952 0.7500
```

Main lines, by intensity (2θ from 10° to 90°):
hkl 1 3 0, 2θ 34.48, intensity 100.0; hkl 1 1 1, 2θ 21.74, intensity 92.9; hkl 3 1 1, 2θ 41.30, intensity 76.2; hkl 0 2 2, 2θ 36.46, intensity 72.1; hkl 1 1 2, 2θ 33.57, intensity 67.9; hkl 2 0 2, 2θ 38.42, intensity 52.7; hkl 2 1 1, 2θ 30.43, intensity 45.5; hkl 2 1 0, 2θ 26.60, intensity 41.7; hkl 2 2 1, 2θ 35.80, intensity 41.6; hkl 2 2 0, 2θ 32.54, intensity 37.0; hkl 1 3 2, 2θ 45.83, intensity 36.0; hkl 2 4 1, 2θ 52.66, intensity 35.6



Computed powder X-ray diffraction pattern of PaGa3Ni for copper Kα, from DFT lattice parameters and positions (GGA-PBE).
Peak positions follow from Bragg's law for the DFT cell and can differ from measured ones.

Atomic structure:
```
data_PaGa3Ni
_cell_length_a 4.1994
_cell_length_b 4.1994
_cell_length_c 9.9530
_cell_angle_alpha 90.00
_cell_angle_beta 90.00
_cell_angle_gamma 90.00
_symmetry_space_group_name_H-M 'I 4 m m'
_symmetry_Int_Tables_number 107
_symmetry_space_group_name_Hall 'I 4 -2'
loop_
_atom_site_label
_atom_site_type_symbol
_atom_site_fract_x
_atom_site_fract_y
_atom_site_fract_z
Pa1 Pa 0.0000 0.0000 0.0000
Ga1 Ga 0.0000 0.0000 0.5856
Ga2 Ga 0.0000 0.5000 0.2471
Ni1 Ni 0.0000 0.0000 0.3569
```

Main lines, by intensity (2θ from 10° to 90°):
hkl 1 1 2, 2θ 35.19, intensity 100.0; hkl 1 0 3, 2θ 34.45, intensity 58.1; hkl 2 0 0, 2θ 43.08, intensity 48.3; hkl 2 1 3, 2θ 56.29, intensity 28.8; hkl 1 0 1, 2θ 22.99, intensity 27.3; hkl 1 0 5, 2θ 50.76, intensity 23.7; hkl 3 1 2, 2θ 73.86, intensity 23.3; hkl 1 1 0, 2θ 30.10, intensity 23.0; hkl 2 1 5, 2θ 68.71, intensity 19.1; hkl 2 2 0, 2θ 62.56, intensity 15.7; hkl 2 0 4, 2θ 57.42, intensity 13.1; hkl 1 1 6, 2θ 64.33, intensity 13.1



Computed powder X-ray diffraction pattern of Ca4LaCd for copper Kα, from DFT lattice parameters and positions (GGA-PBE).
Peak positions follow from Bragg's law for the DFT cell and can differ from measured ones.

Atomic structure:
```
data_Ca4LaCd
_cell_length_a 9.7914
_cell_length_b 9.7914
_cell_length_c 9.7914
_cell_angle_alpha 90.00
_cell_angle_beta 90.00
_cell_angle_gamma 90.00
_symmetry_space_group_name_H-M 'F -4 3 m'
_symmetry_Int_Tables_number 216
_symmetry_space_group_name_Hall 'F -4 2 3'
loop_
_atom_site_label
_atom_site_type_symbol
_atom_site_fract_x
_atom_site_fract_y
_atom_site_fract_z
Ca1 Ca 0.1250 0.1250 0.1250
La1 La 0.0000 0.0000 0.5000
Cd1 Cd 0.2500 0.2500 0.7500
```

Main lines, by intensity (2θ from 10° to 90°):
hkl 3 1 1, 2θ 30.27, intensity 100.0; hkl 2 2 0, 2θ 25.73, intensity 68.9; hkl 5 1 1, 2θ 48.30, intensity 34.7; hkl 4 2 2, 2θ 45.38, intensity 29.4; hkl 4 4 0, 2θ 52.90, intensity 24.9; hkl 7 3 1, 2θ 74.42, intensity 20.3; hkl 1 1 1, 2θ 15.68, intensity 18.7; hkl 6 4 2, 2θ 72.20, intensity 14.3; hkl 6 2 0, 2θ 59.73, intensity 12.7; hkl 2 2 2, 2θ 31.66, intensity 12.6; hkl 5 3 3, 2θ 62.17, intensity 11.8; hkl 7 5 1, 2θ 85.98, intensity 10.9



Computed powder X-ray diffraction pattern of Dy2HfSi2Rh5 for copper Kα, from DFT lattice parameters and positions (GGA-PBE).
Peak positions follow from Bragg's law for the DFT cell and can differ from measured ones.

Atomic structure:
```
data_Dy2HfSi2Rh5
_cell_length_a 9.7645
_cell_length_b 9.7645
_cell_length_c 3.5574
_cell_angle_alpha 90.00
_cell_angle_beta 90.00
_cell_angle_gamma 90.00
_symmetry_space_group_name_H-M 'P 4/m b m'
_symmetry_Int_Tables_number 127
_symmetry_space_group_name_Hall '-P 4 2ab'
loop_
_atom_site_label
_atom_site_type_symbol
_atom_site_fract_x
_atom_site_fract_y
_atom_site_fract_z
Dy1 Dy 0.1746 0.3254 0.0000
Hf1 Hf 0.0000 0.0000 0.0000
Si1 Si 0.1221 0.6221 0.0000
Rh1 Rh 0.0000 0.5000 0.5000
Rh2 Rh 0.0693 0.7857 0.5000
```

Main lines, by intensity (2θ from 10° to 90°):
hkl 3 1 1, 2θ 38.61, intensity 100.0; hkl 4 1 0, 2θ 37.99, intensity 49.6; hkl 2 1 1, 2θ 32.46, intensity 49.2; hkl 2 2 1, 2θ 36.26, intensity 34.1; hkl 4 2 0, 2θ 41.35, intensity 27.4; hkl 3 2 1, 2θ 41.93, intensity 22.0; hkl 0 0 2, 2θ 51.37, intensity 20.3; hkl 4 1 2, 2θ 65.65, intensity 19.6; hkl 6 0 1, 2θ 62.79, intensity 13.8; hkl 7 1 1, 2θ 73.58, intensity 12.5; hkl 5 4 1, 2θ 66.74, intensity 12.5; hkl 4 2 2, 2θ 67.98, intensity 12.4



Computed powder X-ray diffraction pattern of Sc4C for copper Kα, from DFT lattice parameters and positions (GGA-PBE).
Peak positions follow from Bragg's law for the DFT cell and can differ from measured ones.

Atomic structure:
```
data_Sc4C
_cell_length_a 3.2839
_cell_length_b 3.2839
_cell_length_c 11.3365
_cell_angle_alpha 90.00
_cell_angle_beta 90.00
_cell_angle_gamma 120.00
_symmetry_space_group_name_H-M 'P -3 m 1'
_symmetry_Int_Tables_number 164
_symmetry_space_group_name_Hall '-P 3 2"'
loop_
_atom_site_label
_atom_site_type_symbol
_atom_site_fract_x
_atom_site_fract_y
_atom_site_fract_z
Sc1 Sc 0.3333 0.6667 0.1124
Sc2 Sc 0.3333 0.6667 0.3909
C1 C 0.0000 0.0000 0.5000
```

Main lines, by intensity (2θ from 10° to 90°):
hkl 1 0 3, 2θ 39.66, intensity 100.0; hkl 1 0 1, 2θ 32.46, intensity 99.1; hkl 0 0 4, 2θ 31.57, intensity 43.9; hkl 1 0 0, 2θ 31.46, intensity 33.4; hkl 1 0 4, 2θ 45.17, intensity 32.0; hkl 1 1 0, 2θ 56.01, intensity 31.9; hkl 1 1 4, 2θ 65.72, intensity 30.3; hkl 0 1 7, 2θ 66.43, intensity 24.1; hkl 0 0 2, 2θ 15.63, intensity 21.6; hkl 0 2 3, 2θ 70.80, intensity 15.2; hkl 0 2 1, 2θ 66.24, intensity 10.3; hkl 0 1 5, 2θ 51.55, intensity 6.5



Computed powder X-ray diffraction pattern of Ti4FeRu for copper Kα, from DFT lattice parameters and positions (GGA-PBE).
Peak positions follow from Bragg's law for the DFT cell and can differ from measured ones.

Atomic structure:
```
data_Ti4FeRu
_cell_length_a 4.4141
_cell_length_b 4.4141
_cell_length_c 18.3049
_cell_angle_alpha 90.00
_cell_angle_beta 90.00
_cell_angle_gamma 120.00
_symmetry_space_group_name_H-M 'R -3 m'
_symmetry_Int_Tables_number 166
_symmetry_space_group_name_Hall '-R 3 2"'
loop_
_atom_site_label
_atom_site_type_symbol
_atom_site_fract_x
_atom_site_fract_y
_atom_site_fract_z
Ti1 Ti 0.0000 0.0000 0.1195
Ti2 Ti 0.0000 0.0000 0.3701
Fe1 Fe 0.0000 0.0000 0.0000
Ru1 Ru 0.0000 0.0000 0.5000
```

Main lines, by intensity (2θ from 10° to 90°):
hkl 1 1 0, 2θ 40.89, intensity 100.0; hkl 0 1 2, 2θ 25.25, intensity 81.1; hkl 0 1 8, 2θ 46.24, intensity 66.0; hkl 1 2 8, 2θ 78.25, intensity 24.9; hkl 2 0 8, 2θ 63.41, intensity 23.9; hkl 1 1 6, 2θ 51.08, intensity 21.4; hkl 0 0 6, 2θ 29.27, intensity 17.7; hkl 3 0 0, 2θ 74.46, intensity 14.9; hkl 2 0 2, 2θ 48.67, intensity 12.9; hkl 1 2 2, 2θ 65.39, intensity 10.2; hkl 2 2 0, 2θ 88.63, intensity 9.4; hkl 1 0 10, 2θ 55.67, intensity 8.7



Computed powder X-ray diffraction pattern of NaCa3Pd8 for copper Kα, from DFT lattice parameters and positions (GGA-PBE).
Peak positions follow from Bragg's law for the DFT cell and can differ from measured ones.

Atomic structure:
```
data_NaCa3Pd8
_cell_length_a 5.4482
_cell_length_b 5.4482
_cell_length_c 26.6766
_cell_angle_alpha 90.00
_cell_angle_beta 90.00
_cell_angle_gamma 120.00
_symmetry_space_group_name_H-M 'R 3 m'
_symmetry_Int_Tables_number 160
_symmetry_space_group_name_Hall 'R 3 -2"'
loop_
_atom_site_label
_atom_site_type_symbol
_atom_site_fract_x
_atom_site_fract_y
_atom_site_fract_z
Na1 Na 0.0000 0.0000 0.0000
Ca1 Ca 0.0000 0.0000 0.1219
Ca2 Ca 0.0000 0.0000 0.5024
Ca3 Ca 0.0000 0.0000 0.6305
Pd1 Pd 0.0000 0.0000 0.3140
Pd2 Pd 0.0000 0.0000 0.8140
Pd3 Pd 0.0013 0.5007 0.0646
Pd4 Pd 0.1672 0.3344 0.8968
```

Main lines, by intensity (2θ from 10° to 90°):
hkl 2 0 2, 2θ 38.77, intensity 100.0; hkl 0 2 4, 2θ 40.57, intensity 75.9; hkl 0 0 6, 2θ 19.96, intensity 67.7; hkl 3 0 6, 2θ 62.66, intensity 30.8; hkl 2 2 0, 2θ 68.96, intensity 30.6; hkl 4 0 4, 2θ 83.18, intensity 27.4; hkl 2 0 8, 2θ 47.19, intensity 25.4; hkl 0 1 14, 2θ 51.72, intensity 16.4; hkl 1 2 14, 2θ 72.60, intensity 12.0; hkl 0 4 2, 2θ 82.02, intensity 10.4; hkl 1 1 0, 2θ 32.88, intensity 6.2; hkl 0 0 24, 2θ 87.79, intensity 5.9



Computed powder X-ray diffraction pattern of PrZnCuSn for copper Kα, from DFT lattice parameters and positions (GGA-PBE).
Peak positions follow from Bragg's law for the DFT cell and can differ from measured ones.

Atomic structure:
```
data_PrZnCuSn
_cell_length_a 6.9585
_cell_length_b 6.9585
_cell_length_c 6.9585
_cell_angle_alpha 90.00
_cell_angle_beta 90.00
_cell_angle_gamma 90.00
_symmetry_space_group_name_H-M 'F -4 3 m'
_symmetry_Int_Tables_number 216
_symmetry_space_group_name_Hall 'F -4 2 3'
loop_
_atom_site_label
_atom_site_type_symbol
_atom_site_fract_x
_atom_site_fract_y
_atom_site_fract_z
Pr1 Pr 0.0000 0.0000 0.0000
Zn1 Zn 0.2500 0.2500 0.7500
Cu1 Cu 0.2500 0.2500 0.2500
Sn1 Sn 0.0000 0.0000 0.5000
```

Main lines, by intensity (2θ from 10° to 90°):
hkl 2 2 0, 2θ 36.52, intensity 100.0; hkl 4 2 2, 2θ 65.74, intensity 35.1; hkl 4 0 0, 2θ 52.61, intensity 17.4; hkl 6 2 0, 2θ 88.96, intensity 15.9; hkl 2 0 0, 2θ 25.60, intensity 11.3; hkl 4 4 0, 2θ 77.62, intensity 10.9; hkl 4 2 0, 2θ 59.40, intensity 5.0; hkl 2 2 2, 2θ 45.14, intensity 3.5; hkl 6 0 0, 2θ 83.32, intensity 2.8; hkl 1 1 1, 2θ 22.13, intensity 0.7